Structure and simulated XRD peak list of Np4TcRu (the GGA-PBE geometry in Alexandria; Cu Kα (λ = 1.5418 Å)).
No peak broadening, texture or thermal motion is included.

Cell and atoms:
Unit cell a=7.4487 b=7.4487 c=6.6567 alpha=90.00 beta=90.00 gamma=144.90
Sites, in units of the cell vectors:
Np 0.0352 0.9648 0.5000
Np 0.1834 0.8166 0.2902
Np 0.2928 0.7072 0.6066
Np 0.4646 0.5354 0.6341
Np 0.5354 0.4646 0.1341
Np 0.7072 0.2928 0.1066
Np 0.8166 0.1834 0.7902
Np 0.9648 0.0352 0.0000
Tc 0.1222 0.8778 0.8533
Tc 0.8778 0.1222 0.3533
Ru 0.3401 0.6599 0.0451
Ru 0.6599 0.3401 0.5451

Principal peaks in the range 2θ from 5° to 70°, in order of falling intensity:
2θ 38.67, rel. 100; 2θ 39.92, rel. 87; 2θ 40.14, rel. 86; 2θ 34.11, rel. 81; 2θ 18.27, rel. 40; 2θ 40.44, rel. 38; 2θ 51.27, rel. 32; 2θ 24.72, rel. 32; 2θ 46.07, rel. 31; 2θ 58.30, rel. 26



Structure and simulated XRD peak list of Sm5Dy3Ho (the GGA-PBE geometry in Alexandria; Cu Kα (λ = 1.5418 Å)).
No peak broadening, texture or thermal motion is included.

Cell and atoms:
Unit cell a=8.8610 b=8.8610 c=11.5367 alpha=108.57 beta=108.57 gamma=44.64
Sites, in units of the cell vectors:
Sm 0.1091 0.1109 0.5499
Sm 0.1109 0.1091 0.0499
Sm 0.1861 0.8139 0.7500
Sm 0.2357 0.4201 0.6518
Sm 0.4201 0.2357 0.1518
Sm 0.5799 0.7643 0.8482
Sm 0.7643 0.5799 0.3482
Sm 0.8139 0.1861 0.2500
Sm 0.8891 0.8909 0.9501
Sm 0.8909 0.8891 0.4501
Dy 0.1385 0.3389 0.8707
Dy 0.3389 0.1385 0.3707
Dy 0.5000 0.5000 0.0000
Dy 0.5000 0.5000 0.5000
Dy 0.6611 0.8615 0.6293
Dy 0.8615 0.6611 0.1293
Ho 0.2633 0.7367 0.2500
Ho 0.7367 0.2633 0.7500

Principal peaks in the range 2θ from 5° to 70°, in order of falling intensity:
2θ 31.02, rel. 100; 2θ 31.27, rel. 46; 2θ 30.84, rel. 37; 2θ 55.29, rel. 19; 2θ 31.34, rel. 18; 2θ 32.87, rel. 15; 2θ 35.57, rel. 14; 2θ 35.43, rel. 12; 2θ 33.09, rel. 12; 2θ 31.97, rel. 12